This entry pairs a crystal structure of Li2PuGa4Pd with its theoretical powder diffraction line list. Radiation: CuKα. Structure: a DFT-relaxed cell (PBE, Alexandria).
Intensities are scaled so that the largest is 100.

Atomic structure:
Lattice parameters (Å, degrees): 9.027 9.027 9.027 27.74 27.74 27.74
Positions (direct):
Li: 0.231 0.231 0.231
Li: 0.769 0.769 0.769
Pu: 0.000 0.000 0.000
Ga: 0.124 0.124 0.124
Ga: 0.399 0.399 0.399
Ga: 0.601 0.601 0.601
Ga: 0.876 0.876 0.876
Pd: 0.500 0.500 0.500

The 8 most intense peaks (2θ from 5° to 70°), in order of rising 2θ:
two_theta  I/Imax
20.48  16.2
24.72  100.0
33.96  20.8
36.57  76.1
41.73  77.2
42.28  41.6
49.11  15.9
56.68  21.4